Li3V5O12: computed X-ray diffraction stick pattern (Cu Kα (λ = 1.5418 Å)), based on a structure optimized by DFT (GGA+U).
Kinematic intensities with the Lorentz-polarization factor, no thermal factor.

Most intense lines, 5 to 70 degrees two-theta, low angle first:
| 2theta | I_rel | index |
| --- | --- | --- |
| 20.5 | 100 | 0 1 -1 |
| 20.8 | 97 | 1 0 -1 |
| 28.6 | 56 | 1 -1 2 |
| 29.3 | 58 | -1 1 2 |
| 39.2 | 66 | 1 1 2 |
| 45.4 | 54 | 1 -2 3 |

Structure:
```
data_Li3V5O12
_chemical_formula_sum 'Li3 V5 O12'
_space_group_name_H-M_alt 'P 1'
_space_group_IT_number 1
_space_group_name_Hall 'P 1'
_cell_length_a 5.0189
_cell_length_b 5.0421
_cell_length_c 9.2277
_cell_angle_alpha 94.43
_cell_angle_beta 91.93
_cell_angle_gamma 111.73
loop_
_atom_site_label
_atom_site_fract_x
_atom_site_fract_y
_atom_site_fract_z
Li1 0.0000 0.0000 0.0000
Li2 0.1524 0.6699 0.4564
Li3 0.3870 0.0134 0.2237
V1 0.2367 0.1264 0.7064
V2 0.3112 0.5927 0.9792
V3 0.7187 0.6060 0.2075
V4 0.8150 0.0661 0.4434
V5 0.8686 0.5058 0.7329
O1 0.0218 0.2732 0.8548
O2 0.0286 0.6436 0.1053
O3 0.0497 0.9671 0.3402
O4 0.0888 0.3603 0.5872
O5 0.1826 0.8179 0.8402
O6 0.3902 0.3336 0.1100
O7 0.5139 0.7571 0.3627
O8 0.5433 0.1356 0.6111
O9 0.5605 0.4946 0.8256
O10 0.6183 0.8652 0.0767
O11 0.7677 0.3332 0.3433
O12 0.9231 0.8207 0.6041
```